Theoretical powder diffraction line list of Sr7Tl2Zn2 for Cu Kα, 1.54184 Å, from a PBE-relaxed structure.
Kinematic intensities with the Lorentz-polarization factor, no thermal factor.

Main lines, in order of rising 2θ (2θ from 10° to 90°):
17.7 deg, I = 59
23.1 deg, I = 50
25.1 deg, I = 59
26.0 deg, I = 45
28.1 deg, I = 75
31.5 deg, I = 27
32.2 deg, I = 58
33.2 deg, I = 100
33.4 deg, I = 32
39.1 deg, I = 44

```
data_Sr7Tl2Zn2
_chemical_formula_sum 'Sr14 Tl4 Zn4'
_space_group_name_H-M_alt 'C m m m'
_space_group_IT_number 65
_space_group_name_Hall '-C 2 2'
_cell_length_a 8.7498
_cell_length_b 12.7114
_cell_length_c 8.1393
_cell_angle_alpha 90.00
_cell_angle_beta 90.00
_cell_angle_gamma 90.00
loop_
_atom_site_label
_atom_site_fract_x
_atom_site_fract_y
_atom_site_fract_z
_atom_site_occupancy
Sr1 0.0000 0.0000 0.0000 1
Sr2 0.0000 0.5000 0.2480 1
Sr3 0.2500 0.2500 0.2662 1
Tl1 0.1708 0.0000 0.5000 1
Zn1 0.0000 0.2961 0.0000 1
```